Entry 1:
Diffraction record for Rb2DyBeO4. The X-ray powder pattern is computed, not measured: it uses a DFT-relaxed cell (GGA-PBE, Alexandria) and Cu Kα X-rays.
Kinematic intensities with the Lorentz-polarization factor, no thermal factor.

Cell and atoms:
```
Rb2DyBeO4
1.0
0.000 6.031 11.598
2.549 0.000 11.598
2.549 6.031 0.000
Rb Dy Be O
4 2 2 8
Direct
0.054 0.054 0.696 Rb
0.304 0.304 0.946 Rb
0.696 0.696 0.054 Rb
0.946 0.946 0.304 Rb
0.125 0.125 0.125 Dy
0.875 0.875 0.875 Dy
0.375 0.375 0.375 Be
0.625 0.625 0.625 Be
0.062 0.606 0.519 O
0.313 0.519 0.606 O
0.394 0.938 0.687 O
0.481 0.687 0.938 O
0.519 0.313 0.062 O
0.606 0.062 0.313 O
0.687 0.481 0.394 O
0.938 0.394 0.481 O
```

Main lines, low angle first (10° ≤ 2θ ≤ 90°):
2theta  I (rel.)
15.3  56
19.3  85
27.0  64
27.4  100
28.5  52
29.6  36
34.4  65
38.3  39
42.5  30
52.6  32


Entry 2:
Diffraction record for DyBe2Os. The X-ray powder pattern is computed, not measured: it uses a DFT-relaxed cell (GGA-PBE, Alexandria) and Cu Kα X-rays.
Kinematic intensities with the Lorentz-polarization factor, no thermal factor.

Cell and atoms:
```
DyBe2Os
1.0
1.945 1.123 4.759
-1.945 1.123 4.759
0.000 -2.246 4.759
Dy Be Os
1 2 1
Direct
0.000 0.000 0.000 Dy
0.196 0.196 0.196 Be
0.804 0.804 0.804 Be
0.500 0.500 0.500 Os
```

Main lines, low angle first (10° ≤ 2θ ≤ 90°):
2theta  I (rel.)
29.3  100
36.7  60
37.8  19
46.7  32
56.1  17
58.5  14
60.8  14
61.6  27
75.9  14
80.0  13